# AcInOs
Theoretical powder XRD pattern, Cu Ka. Input: a cell relaxed with GGA-PBE.
Intensities are scaled so that the largest is 100.

Principal peaks in the range 5° ≤ 2θ ≤ 70°, in order of rising 2θ:
Position (°2θ)  I (rel.)
21.49  45
35.45  100
41.83  25
51.00  18
55.96  11
63.64  37

Structural model:
```
data_AcInOs
_symmetry_space_group_name_H-M 'F -4 3 m'
_symmetry_Int_Tables_number 216
_symmetry_space_group_name_Hall 'F -4 2 3'
_cell_length_a 7.163
_cell_length_b 7.163
_cell_length_c 7.163
_cell_angle_alpha 90.00
_cell_angle_beta 90.00
_cell_angle_gamma 90.00
loop_
_atom_site_label
_atom_site_type_symbol
_atom_site_fract_x
_atom_site_fract_y
_atom_site_fract_z
Ac1 Ac 0.000 0.000 0.000
In1 In 0.250 0.250 0.750
Os1 Os 0.250 0.250 0.250
```